This entry pairs a crystal structure of Ba2MgMn2O6 with its calculated XRD peak list. Radiation: copper Kα. Structure: a cell relaxed with GGA+U.
Peak positions follow from Bragg's law for the DFT cell and can differ from measured ones.

Structural model:
Lattice parameters (Å, degrees): 5.723 5.799 6.082 63.26 85.48 72.50
Space group P1 (No. 1)
Inequivalent atoms, fractional coordinates:
Ba1 0.000 0.000 0.000 x1
Ba2 0.346 0.529 0.761 x1
Mg1 0.624 0.634 0.234 x1
Mn1 0.138 0.266 0.359 x1
Mn2 0.657 0.091 0.469 x1
O1 0.006 0.960 0.446 x1
O2 0.339 0.515 0.224 x1
O3 0.360 0.063 0.660 x1
O4 0.558 0.984 0.237 x1
O5 0.743 0.331 0.573 x1
O6 0.913 0.501 0.067 x1

Main lines, low angle first (5° ≤ 2θ ≤ 70°):
hkl  d/Å  Rel. int.
1 1 0  4.365  71.6
1 0 1  3.720  85.0
-1 1 1  3.282  37.5
1 -1 0  3.214  52.9
0 1 2  3.013  100.0
1 1 -1  2.942  59.8
1 2 1  2.832  71.1
0 2 1  2.763  55.1
2 1 1  2.662  44.9
2 0 -1  2.501  73.6
0 2 0  2.469  69.9
1 0 2  2.364  47.2

This entry pairs a crystal structure of K4V4As6H12O31 with its calculated XRD peak list. Radiation: copper Kα. Structure: a cell relaxed with GGA+U.
Peak positions follow from Bragg's law for the DFT cell and can differ from measured ones.

Structural model:
Lattice parameters (Å, degrees): 6.692 9.289 13.027 106.73 99.26 102.79
Space group P1 (No. 1)
Inequivalent atoms, fractional coordinates:
K1 0.000 0.000 0.000 x1
K2 0.155 0.428 0.268 x1
K3 0.318 0.012 0.576 x1
K4 0.490 0.432 0.831 x1
V1 0.080 0.338 0.556 x1
V2 0.406 0.090 0.272 x1
V3 0.742 0.767 0.691 x1
V4 0.748 0.659 0.139 x1
As1 0.235 0.723 0.708 x1
As2 0.254 0.706 0.117 x1
As3 0.556 0.253 0.059 x1
As4 0.574 0.389 0.517 x1
As5 0.915 0.038 0.312 x1
As6 0.932 0.176 0.771 x1
H1 0.084 0.403 0.927 x1
H2 0.111 0.652 0.930 x1
H3 0.243 0.778 0.361 x1
H4 0.380 0.776 0.896 x1
H5 0.403 0.024 0.903 x1
H6 0.437 0.771 0.440 x1
H7 0.673 0.445 0.316 x1
H8 0.694 0.619 0.333 x1
H9 0.732 0.276 0.666 x1
H10 0.757 0.152 0.163 x1
H11 0.806 0.973 0.502 x1
H12 0.813 0.807 0.499 x1
O1 0.034 0.786 0.657 x1
O2 0.040 0.624 0.157 x1
O3 0.044 0.288 0.911 x1
O4 0.073 0.422 0.462 x1
O5 0.098 0.211 0.690 x1
O6 0.109 0.114 0.255 x1
O7 0.191 0.532 0.701 x1
O8 0.199 0.604 0.969 x1
O9 0.283 0.725 0.413 x1
O10 0.287 0.823 0.857 x1
O11 0.296 0.897 0.126 x1
O12 0.378 0.316 0.574 x1
O13 0.391 0.216 0.140 x1
O14 0.402 0.002 0.364 x1
O15 0.444 0.140 0.919 x1
O16 0.454 0.807 0.674 x1
O17 0.456 0.647 0.171 x1
O18 0.517 0.320 0.375 x1
O19 0.626 0.430 0.043 x1
O20 0.632 0.588 0.551 x1
O21 0.706 0.232 0.731 x1
O22 0.708 0.096 0.254 x1
O23 0.734 0.882 0.522 x1
O24 0.742 0.735 0.040 x1
O25 0.744 0.533 0.293 x1
O26 0.751 0.691 0.790 x1
O27 0.777 0.327 0.576 x1
O28 0.783 0.198 0.100 x1
O29 0.861 0.997 0.785 x1
O30 0.864 0.839 0.279 x1
O31 0.970 0.106 0.455 x1

Main lines, low angle first (5° ≤ 2θ ≤ 70°):
hkl  d/Å  Rel. int.
0 0 2  6.055  44.0
0 1 -2  5.976  77.5
-1 1 2  4.229  28.1
1 1 -3  3.720  33.7
0 2 1  3.657  40.9
0 2 -3  3.597  34.0
2 -1 0  3.289  100.0
0 1 -4  3.214  21.0
1 -2 3  3.163  26.8
2 0 -2  3.133  35.4
0 2 2  3.039  35.4
2 1 -3  2.687  35.0

This entry pairs a crystal structure of K5Mo3H2S4O2F11 with its calculated XRD peak list. Radiation: copper Kα. Structure: a cell relaxed with GGA+U.
Peak positions follow from Bragg's law for the DFT cell and can differ from measured ones.

Structural model:
Lattice parameters (Å, degrees): 15.254 9.044 15.174 90.00 90.00 90.00
Space group Cmc2_1 (No. 36)
Inequivalent atoms, fractional coordinates:
K1 0.000 0.117 0.000 x4
K2 0.164 0.141 0.796 x8
K3 0.237 0.416 0.006 x8
Mo1 0.000 0.441 0.852 x4
Mo2 0.093 0.267 0.340 x8
H1 0.191 0.165 0.172 x8
S1 0.000 0.156 0.239 x4
S2 0.000 0.354 0.457 x4
S3 0.114 0.486 0.257 x8
O1 0.041 0.146 0.621 x8
F1 0.000 0.230 0.798 x4
F2 0.090 0.336 0.935 x8
F3 0.112 0.070 0.409 x8
F4 0.188 0.154 0.103 x8
F5 0.199 0.173 0.258 x8
F6 0.204 0.323 0.414 x8

Main lines, low angle first (5° ≤ 2θ ≤ 70°):
hkl  d/Å  Rel. int.
0 0 2  7.592  100.0
1 1 1  6.923  23.2
1 1 2  5.432  19.6
2 0 2  5.379  16.2
1 1 3  4.244  11.4
4 0 2  3.407  9.4
2 2 3  3.083  13.2
1 3 1  2.903  10.9
5 1 3  2.509  11.3
1 3 5  2.118  8.8
5 1 5  2.093  11.3
4 2 6  1.912  12.5

Please write out number 2 again, unchanged.
This entry pairs a crystal structure of K4V4As6H12O31 with its calculated XRD peak list. Radiation: copper Kα. Structure: a cell relaxed with GGA+U.
Peak positions follow from Bragg's law for the DFT cell and can differ from measured ones.

Structural model:
Lattice parameters (Å, degrees): 6.692 9.289 13.027 106.73 99.26 102.79
Space group P1 (No. 1)
Inequivalent atoms, fractional coordinates:
K1 0.000 0.000 0.000 x1
K2 0.155 0.428 0.268 x1
K3 0.318 0.012 0.576 x1
K4 0.490 0.432 0.831 x1
V1 0.080 0.338 0.556 x1
V2 0.406 0.090 0.272 x1
V3 0.742 0.767 0.691 x1
V4 0.748 0.659 0.139 x1
As1 0.235 0.723 0.708 x1
As2 0.254 0.706 0.117 x1
As3 0.556 0.253 0.059 x1
As4 0.574 0.389 0.517 x1
As5 0.915 0.038 0.312 x1
As6 0.932 0.176 0.771 x1
H1 0.084 0.403 0.927 x1
H2 0.111 0.652 0.930 x1
H3 0.243 0.778 0.361 x1
H4 0.380 0.776 0.896 x1
H5 0.403 0.024 0.903 x1
H6 0.437 0.771 0.440 x1
H7 0.673 0.445 0.316 x1
H8 0.694 0.619 0.333 x1
H9 0.732 0.276 0.666 x1
H10 0.757 0.152 0.163 x1
H11 0.806 0.973 0.502 x1
H12 0.813 0.807 0.499 x1
O1 0.034 0.786 0.657 x1
O2 0.040 0.624 0.157 x1
O3 0.044 0.288 0.911 x1
O4 0.073 0.422 0.462 x1
O5 0.098 0.211 0.690 x1
O6 0.109 0.114 0.255 x1
O7 0.191 0.532 0.701 x1
O8 0.199 0.604 0.969 x1
O9 0.283 0.725 0.413 x1
O10 0.287 0.823 0.857 x1
O11 0.296 0.897 0.126 x1
O12 0.378 0.316 0.574 x1
O13 0.391 0.216 0.140 x1
O14 0.402 0.002 0.364 x1
O15 0.444 0.140 0.919 x1
O16 0.454 0.807 0.674 x1
O17 0.456 0.647 0.171 x1
O18 0.517 0.320 0.375 x1
O19 0.626 0.430 0.043 x1
O20 0.632 0.588 0.551 x1
O21 0.706 0.232 0.731 x1
O22 0.708 0.096 0.254 x1
O23 0.734 0.882 0.522 x1
O24 0.742 0.735 0.040 x1
O25 0.744 0.533 0.293 x1
O26 0.751 0.691 0.790 x1
O27 0.777 0.327 0.576 x1
O28 0.783 0.198 0.100 x1
O29 0.861 0.997 0.785 x1
O30 0.864 0.839 0.279 x1
O31 0.970 0.106 0.455 x1

Main lines, low angle first (5° ≤ 2θ ≤ 70°):
hkl  d/Å  Rel. int.
0 0 2  6.055  44.0
0 1 -2  5.976  77.5
-1 1 2  4.229  28.1
1 1 -3  3.720  33.7
0 2 1  3.657  40.9
0 2 -3  3.597  34.0
2 -1 0  3.289  100.0
0 1 -4  3.214  21.0
1 -2 3  3.163  26.8
2 0 -2  3.133  35.4
0 2 2  3.039  35.4
2 1 -3  2.687  35.0